No. 1
BaLaCl5: computed powder X-ray diffraction pattern (Cu Kα), based on the PBE geometry in the Materials Project.
Intensities are scaled so that the largest is 100.

The 10 most intense peaks (10 to 90 degrees two-theta), in order of rising 2θ:
2theta	d [Å]	I (rel.)
20.36	4.361	96
20.52	4.328	100
20.70	4.291	96
21.31	4.169	69
23.34	3.812	64
24.01	3.706	56
24.57	3.623	56
33.23	2.696	48
33.42	2.681	49
34.88	2.572	92

Crystal structure
Cell lengths 9.285, 10.790, 13.450 Å; angles 78.30, 76.87, 71.22 degrees
Positions (direct):
Ba  0.223  0.001  0.269
Ba  0.247  0.653  0.563
Ba  0.273  0.307  0.942
Ba  0.727  0.693  0.058
Ba  0.753  0.347  0.437
Ba  0.777  0.999  0.731
La  0.220  0.523  0.245
La  0.247  0.834  0.927
La  0.284  0.150  0.578
La  0.716  0.850  0.422
La  0.753  0.166  0.073
La  0.780  0.477  0.755
Cl  0.094  0.749  0.366
Cl  0.111  0.609  0.043
Cl  0.115  0.072  0.044
Cl  0.139  0.402  0.710
Cl  0.153  0.381  0.443
Cl  0.158  0.304  0.203
Cl  0.168  0.067  0.785
Cl  0.168  0.974  0.519
Cl  0.181  0.741  0.774
Cl  0.353  0.750  0.130
Cl  0.465  0.496  0.346
Cl  0.478  0.782  0.377
Cl  0.483  0.106  0.383
Cl  0.489  0.391  0.107
Cl  0.498  0.063  0.103
Cl  0.502  0.937  0.897
Cl  0.511  0.609  0.893
Cl  0.517  0.894  0.617
Cl  0.522  0.218  0.623
Cl  0.535  0.504  0.654
Cl  0.647  0.250  0.870
Cl  0.819  0.259  0.226
Cl  0.832  0.026  0.481
Cl  0.832  0.933  0.215
Cl  0.842  0.696  0.797
Cl  0.847  0.619  0.557
Cl  0.861  0.598  0.290
Cl  0.885  0.928  0.956
Cl  0.889  0.391  0.957
Cl  0.906  0.251  0.634



No. 2
BaLaCl5: computed powder X-ray diffraction pattern (Cu Kα), based on the PBE geometry in the Materials Project.
Intensities are scaled so that the largest is 100.

The 10 most intense peaks (10 to 90 degrees two-theta), in order of rising 2θ:
2theta	d [Å]	I (rel.)
16.65	5.325	21
19.06	4.657	27
20.65	4.300	100
21.92	4.055	54
22.66	3.924	21
31.17	2.869	54
33.72	2.658	30
34.23	2.620	52
34.70	2.585	44
37.35	2.407	34

Crystal structure
Cell lengths 15.532, 7.284, 14.645 Å; angles 90.00, 90.00, 90.00 degrees
Positions (direct):
Ba  0.095  0.250  0.185
Ba  0.102  0.750  0.480
Ba  0.398  0.250  0.980
Ba  0.405  0.750  0.685
Ba  0.595  0.250  0.315
Ba  0.602  0.750  0.020
Ba  0.898  0.250  0.520
Ba  0.905  0.750  0.815
La  0.104  0.250  0.785
La  0.220  0.750  0.965
La  0.280  0.250  0.465
La  0.396  0.750  0.285
La  0.604  0.250  0.715
La  0.720  0.750  0.535
La  0.780  0.250  0.035
La  0.896  0.750  0.215
Cl  0.025  0.512  0.672
Cl  0.025  0.988  0.672
Cl  0.073  0.750  0.162
Cl  0.078  0.518  0.923
Cl  0.078  0.982  0.923
Cl  0.096  0.250  0.484
Cl  0.224  0.513  0.328
Cl  0.224  0.987  0.328
Cl  0.246  0.524  0.593
Cl  0.246  0.976  0.593
Cl  0.254  0.024  0.093
Cl  0.254  0.476  0.093
Cl  0.276  0.013  0.828
Cl  0.276  0.487  0.828
Cl  0.404  0.750  0.984
Cl  0.422  0.018  0.423
Cl  0.422  0.482  0.423
Cl  0.427  0.250  0.662
Cl  0.475  0.012  0.172
Cl  0.475  0.488  0.172
Cl  0.525  0.512  0.828
Cl  0.525  0.988  0.828
Cl  0.573  0.750  0.338
Cl  0.578  0.518  0.577
Cl  0.578  0.982  0.577
Cl  0.596  0.250  0.016
Cl  0.724  0.513  0.172
Cl  0.724  0.987  0.172
Cl  0.746  0.524  0.907
Cl  0.746  0.976  0.907
Cl  0.754  0.024  0.407
Cl  0.754  0.476  0.407
Cl  0.776  0.013  0.672
Cl  0.776  0.487  0.672
Cl  0.904  0.750  0.516
Cl  0.922  0.018  0.077
Cl  0.922  0.482  0.077
Cl  0.927  0.250  0.838
Cl  0.975  0.012  0.328
Cl  0.975  0.488  0.328



No. 3
BaLaCl5: computed powder X-ray diffraction pattern (Cu Kα), based on the PBE geometry in the Materials Project.
Intensities are scaled so that the largest is 100.

The 10 most intense peaks (10 to 90 degrees two-theta), in order of rising 2θ:
2theta	d [Å]	I (rel.)
18.92	4.691	100
19.18	4.627	50
20.66	4.300	46
21.20	4.191	37
22.42	3.966	76
23.41	3.800	37
30.96	2.888	38
32.44	2.760	48
34.70	2.585	37
39.18	2.299	39

Crystal structure
Cell lengths 7.133, 12.467, 9.978 Å; angles 90.00, 92.88, 90.00 degrees
Positions (direct):
Ba  0.034  0.000  0.176
Ba  0.449  0.336  0.375
Ba  0.551  0.836  0.625
Ba  0.966  0.500  0.824
La  0.014  0.094  0.613
La  0.475  0.686  0.106
La  0.525  0.186  0.894
La  0.986  0.594  0.387
Cl  0.045  0.243  0.411
Cl  0.148  0.262  0.785
Cl  0.189  0.501  0.172
Cl  0.203  0.697  0.905
Cl  0.230  0.487  0.569
Cl  0.268  0.992  0.448
Cl  0.311  0.194  0.122
Cl  0.315  0.005  0.786
Cl  0.352  0.711  0.375
Cl  0.429  0.905  0.112
Cl  0.571  0.405  0.888
Cl  0.648  0.211  0.625
Cl  0.685  0.505  0.214
Cl  0.689  0.694  0.878
Cl  0.732  0.492  0.552
Cl  0.770  0.987  0.431
Cl  0.797  0.197  0.095
Cl  0.811  0.001  0.828
Cl  0.852  0.762  0.215
Cl  0.955  0.743  0.589



No. 4
Ba6Li2Si4ClO15: computed powder X-ray diffraction pattern (Cu Kα), based on the PBE geometry in the Materials Project.
Intensities are scaled so that the largest is 100.

The 10 most intense peaks (10 to 90 degrees two-theta), in order of rising 2θ:
2theta	d [Å]	I (rel.)
19.88	4.466	30
25.29	3.522	71
29.94	2.984	27
30.97	2.888	100
32.46	2.758	26
40.39	2.233	41
48.38	1.881	18
51.75	1.766	19
55.08	1.667	19
64.54	1.444	17

Crystal structure
Cell lengths 5.775, 5.775, 29.757 Å; angles 90.00, 90.00, 120.00 degrees
Positions (direct):
Ba  0.000  0.000  0.000
Ba  0.000  0.000  0.147
Ba  0.000  0.000  0.353
Ba  0.000  0.000  0.500
Ba  0.000  0.000  0.647
Ba  0.000  0.000  0.853
Ba  0.333  0.667  0.085
Ba  0.333  0.667  0.415
Ba  0.333  0.667  0.750
Ba  0.667  0.333  0.250
Ba  0.667  0.333  0.585
Ba  0.667  0.333  0.915
Li  0.333  0.667  0.646
Li  0.333  0.667  0.854
Li  0.667  0.333  0.146
Li  0.667  0.333  0.354
Si  0.333  0.667  0.194
Si  0.333  0.667  0.306
Si  0.333  0.667  0.556
Si  0.333  0.667  0.944
Si  0.667  0.333  0.056
Si  0.667  0.333  0.444
Si  0.667  0.333  0.694
Si  0.667  0.333  0.806
Cl  0.000  0.000  0.250
Cl  0.000  0.000  0.750
O  0.025  0.513  0.174
O  0.025  0.513  0.326
O  0.179  0.358  0.576
O  0.179  0.358  0.924
O  0.179  0.821  0.576
O  0.179  0.821  0.924
O  0.333  0.667  0.250
O  0.333  0.667  0.501
O  0.333  0.667  0.999
O  0.358  0.179  0.076
O  0.358  0.179  0.424
O  0.487  0.513  0.174
O  0.487  0.513  0.326
O  0.487  0.975  0.174
O  0.487  0.975  0.326
O  0.513  0.025  0.674
O  0.513  0.025  0.826
O  0.513  0.487  0.674
O  0.513  0.487  0.826
O  0.642  0.821  0.576
O  0.642  0.821  0.924
O  0.667  0.333  0.001
O  0.667  0.333  0.499
O  0.667  0.333  0.750
O  0.821  0.179  0.076
O  0.821  0.179  0.424
O  0.821  0.642  0.076
O  0.821  0.642  0.424
O  0.975  0.487  0.674
O  0.975  0.487  0.826



No. 5
Ba3TaN3Cl2: computed powder X-ray diffraction pattern (Cu Kα), based on the PBE geometry in the Materials Project.
Intensities are scaled so that the largest is 100.

The 10 most intense peaks (10 to 90 degrees two-theta), in order of rising 2θ:
2theta	d [Å]	I (rel.)
13.42	6.599	12
24.32	3.660	10
27.17	3.282	20
27.60	3.232	35
28.01	3.185	100
31.05	2.880	21
44.02	2.057	14
45.42	1.997	10
49.06	1.857	19
56.49	1.629	11

Crystal structure
Cell lengths 15.240, 15.240, 6.463 Å; angles 90.00, 90.00, 120.00 degrees
Positions (direct):
Ba  0.000  0.200  0.000
Ba  0.000  0.800  0.500
Ba  0.159  0.469  0.435
Ba  0.159  0.690  0.935
Ba  0.200  0.000  0.000
Ba  0.200  0.200  0.500
Ba  0.310  0.469  0.935
Ba  0.310  0.841  0.435
Ba  0.469  0.159  0.435
Ba  0.469  0.310  0.935
Ba  0.531  0.690  0.435
Ba  0.531  0.841  0.935
Ba  0.690  0.159  0.935
Ba  0.690  0.531  0.435
Ba  0.800  0.000  0.500
Ba  0.800  0.800  0.000
Ba  0.841  0.310  0.435
Ba  0.841  0.531  0.935
Ta  0.000  0.423  0.969
Ta  0.000  0.577  0.469
Ta  0.423  0.000  0.969
Ta  0.423  0.423  0.469
Ta  0.577  0.000  0.469
Ta  0.577  0.577  0.969
N  0.000  0.488  0.696
N  0.000  0.512  0.196
N  0.114  0.404  0.009
N  0.114  0.710  0.509
N  0.290  0.404  0.509
N  0.290  0.886  0.009
N  0.404  0.114  0.009
N  0.404  0.290  0.509
N  0.488  0.000  0.696
N  0.488  0.488  0.196
N  0.512  0.000  0.196
N  0.512  0.512  0.696
N  0.596  0.710  0.009
N  0.596  0.886  0.509
N  0.710  0.114  0.509
N  0.710  0.596  0.009
N  0.886  0.290  0.009
N  0.886  0.596  0.509
Cl  0.000  0.000  0.248
Cl  0.000  0.000  0.748
Cl  0.000  0.229  0.496
Cl  0.000  0.771  0.996
Cl  0.229  0.000  0.496
Cl  0.229  0.229  0.996
Cl  0.333  0.667  0.199
Cl  0.333  0.667  0.699
Cl  0.667  0.333  0.199
Cl  0.667  0.333  0.699
Cl  0.771  0.000  0.996
Cl  0.771  0.771  0.496